Starting from the GGA-PBE geometry in Alexandria, the powder X-ray diffraction pattern of TmScN was simulated for Cu Kα, 1.54184 Å.

Structural model:
Cell: 6.309 6.309 5.515 Å, 90.00 90.00 146.94°
Sites, in units of the cell vectors:
Tm1 0.190 0.810 0.500
Tm2 0.810 0.190 0.000
Sc1 0.460 0.540 0.512
Sc2 0.540 0.460 0.012
N1 0.339 0.661 0.765
N2 0.661 0.339 0.265

Main lines, by angle (2θ = 15–90°):
2θ 21.81, I = 38; 2θ 30.62, I = 100; 2θ 33.42, I = 42; 2θ 33.81, I = 59; 2θ 47.29, I = 41; 2θ 56.76, I = 33